Starting from the PBE geometry in the Materials Project, the powder X-ray diffraction pattern of La4MgRh was computed for a wavelength of 1.5418 Å.
Lines closer than 0.1° are merged.

Cell and atoms:
```
24
Lattice="0.000 7.224 7.224 7.224 0.000 7.224 7.224 7.224 0.000" Properties=species:S:1:pos:R:3 pbc="T T T"
La 9.445 5.003 5.003
La 3.612 3.612 0.896
La 3.612 0.896 3.612
La 6.328 3.612 3.612
La 7.224 7.224 2.717
La 7.224 2.717 7.224
La 11.731 7.224 7.224
La 0.896 3.612 3.612
La 3.612 6.328 3.612
La 3.612 3.612 6.328
La 5.003 9.445 5.003
La 5.003 5.003 9.445
La 9.445 9.445 9.445
La 2.717 7.224 7.224
La 7.224 11.731 7.224
La 7.224 7.224 11.731
Mg 6.072 6.072 6.072
Mg 8.376 8.376 6.072
Mg 8.376 6.072 8.376
Mg 6.072 8.376 8.376
Rh 12.398 9.274 9.274
Rh 9.274 12.398 9.274
Rh 9.274 9.274 12.398
Rh 12.398 12.398 12.398
```

The 6 most intense peaks (10 to 80 degrees two-theta), by angle:
| d/Å | 2θ (°) | I (rel.) |
| --- | --- | --- |
| 8.342 | 10.6 | 24 |
| 3.315 | 26.9 | 39 |
| 2.949 | 30.3 | 52 |
| 2.781 | 32.2 | 100 |
| 2.554 | 35.1 | 35 |
| 1.703 | 53.8 | 50 |

Starting from the PBE geometry in the Materials Project, the powder X-ray diffraction pattern of Cs2TeSO10 was computed for a wavelength of 1.5418 Å.
Lines closer than 0.1° are merged.

Cell and atoms:
```
56
Lattice="12.801 0.000 0.000 0.000 7.643 0.000 -4.384 0.000 11.955" Properties=species:S:1:pos:R:3 pbc="T T T"
Cs 0.056 0.073 4.284
Cs -2.136 3.749 10.262
Cs 2.042 4.039 7.346
Cs 4.234 7.425 1.368
Cs 4.183 0.218 10.587
Cs 6.375 3.604 4.609
Cs 10.553 3.894 1.693
Cs 8.361 7.570 7.671
Te 0.000 0.000 0.000
Te -2.192 3.822 5.978
Te 4.209 0.000 5.978
Te 6.400 3.822 0.000
S -0.036 0.046 8.962
S 2.156 3.775 2.985
S 6.261 3.868 8.971
S 8.453 7.597 2.993
O -2.504 5.128 7.370
O -0.312 6.336 1.392
O -0.829 4.679 4.891
O -3.021 6.786 10.869
O 1.235 0.853 1.196
O -0.956 2.969 7.173
O -0.790 0.134 7.673
O 1.402 3.687 1.695
O -0.771 0.658 10.086
O 1.421 3.163 4.108
O 2.277 5.259 3.128
O 0.085 6.205 9.106
O 1.292 0.695 8.883
O 3.484 3.127 2.906
O 4.638 4.313 0.634
O 2.446 7.151 6.611
O 3.449 0.338 4.238
O 1.258 3.483 10.215
O 1.978 5.605 11.213
O 4.170 5.860 5.236
O 4.248 1.783 6.720
O 6.439 2.038 0.742
O 7.160 4.160 1.740
O 4.968 7.305 7.717
O 5.971 0.492 5.344
O 3.779 3.330 11.322
O 4.933 4.516 9.050
O 7.125 6.948 3.072
O 8.332 1.438 2.849
O 6.141 2.384 8.827
O 6.996 4.480 7.847
O 9.188 6.985 1.869
O 7.015 3.956 10.260
O 9.207 7.509 4.283
O 9.374 4.674 4.782
O 7.182 6.790 10.760
O 11.438 0.857 1.087
O 9.246 2.964 7.064
O 8.729 1.307 10.563
O 10.921 2.515 4.586
```

The 6 most intense peaks (10 to 80 degrees two-theta), by angle:
| d/Å | 2θ (°) | I (rel.) |
| --- | --- | --- |
| 3.822 | 23.3 | 29 |
| 3.718 | 23.9 | 100 |
| 3.655 | 24.4 | 26 |
| 2.641 | 33.9 | 16 |
| 2.186 | 41.3 | 19 |
| 2.125 | 42.5 | 12 |

Starting from the PBE geometry in the Materials Project, the powder X-ray diffraction pattern of NaPuF4 was computed for a wavelength of 1.5418 Å.
Lines closer than 0.1° are merged.

Cell and atoms:
```
18
Lattice="6.210 0.000 0.000 -3.095 6.515 0.000 -3.079 -2.294 6.137" Properties=species:S:1:pos:R:3 pbc="T T T"
Na 0.000 0.000 0.000
Na -3.023 4.098 2.612
Na -0.041 -0.480 5.832
Pu -3.071 1.864 5.856
Pu 0.040 2.158 3.226
Pu 3.131 -0.299 2.805
F -4.465 3.340 4.567
F -1.037 2.493 1.091
F -2.368 1.964 3.481
F -2.280 -0.310 5.112
F -0.680 -0.106 2.838
F -1.525 5.223 1.249
F 1.796 1.426 1.767
F -0.966 4.319 3.856
F -0.672 1.906 5.577
F 0.788 6.330 0.474
F 0.966 4.084 2.000
F 1.521 0.625 4.429
```

The 6 most intense peaks (10 to 80 degrees two-theta), by angle:
| d/Å | 2θ (°) | I (rel.) |
| --- | --- | --- |
| 5.373 | 16.5 | 100 |
| 3.102 | 28.8 | 85 |
| 3.067 | 29.1 | 66 |
| 3.053 | 29.2 | 55 |
| 1.788 | 51.1 | 34 |
| 1.780 | 51.3 | 31 |

Starting from the PBE geometry in the Materials Project, the powder X-ray diffraction pattern of CeMg6Al was computed for a wavelength of 1.5418 Å.
Lines closer than 0.1° are merged.

Cell and atoms:
```
8
Lattice="6.360 0.000 0.000 0.000 4.893 0.000 -2.191 0.000 6.235" Properties=species:S:1:pos:R:3 pbc="T T T"
Ce 0.000 0.000 0.000
Mg -0.901 0.000 3.086
Mg -0.470 2.446 4.819
Mg 1.065 0.000 5.582
Mg 2.336 0.000 2.584
Mg 2.763 2.446 4.373
Mg 4.032 2.446 1.241
Al 0.827 2.446 1.799
```

The 6 most intense peaks (10 to 80 degrees two-theta), by angle:
| d/Å | 2θ (°) | I (rel.) |
| --- | --- | --- |
| 6.235 | 14.2 | 57 |
| 6.000 | 14.8 | 51 |
| 2.643 | 33.9 | 67 |
| 2.629 | 34.1 | 94 |
| 2.558 | 35.1 | 100 |
| 2.446 | 36.7 | 50 |

Starting from the PBE geometry in the Materials Project, the powder X-ray diffraction pattern of Na3MgNbSi2SO12 was computed for a wavelength of 1.5418 Å.
Lines closer than 0.1° are merged.

Cell and atoms:
```
40
Lattice="7.823 -4.546 0.000 7.823 4.546 0.000 -5.289 0.000 7.522" Properties=species:S:1:pos:R:3 pbc="T T T"
Na 5.179 4.122 3.761
Na 7.649 2.403 1.805
Na 10.051 0.765 0.144
Na 7.407 -0.765 3.905
Na 5.005 -2.403 5.567
Na 7.823 -4.122 0.000
Mg 2.248 2.385 6.142
Mg 4.892 -2.385 2.381
Nb 7.543 2.301 5.272
Nb 10.188 -2.301 1.511
Si 0.069 0.958 3.881
Si 2.713 -0.958 0.119
Si 10.200 0.422 3.905
Si 12.844 -0.422 0.144
S 4.626 0.933 3.871
S 7.270 -0.933 0.110
O 1.046 1.240 2.492
O 1.008 3.178 7.504
O 2.525 0.718 0.221
O 0.831 1.591 5.100
O 3.972 1.588 2.672
O -0.119 -0.718 3.982
O 3.800 2.886 7.446
O -1.598 -1.240 6.253
O 3.864 1.173 5.088
O 5.977 1.659 3.912
O 2.250 0.482 7.424
O 3.476 -1.591 1.339
O 4.894 -0.482 3.663
O 1.327 -1.588 6.433
O 8.740 1.269 3.993
O 6.509 -1.173 1.326
O 7.300 0.640 6.311
O 8.622 -1.659 0.151
O 3.653 -3.178 3.743
O 9.945 -0.640 2.550
O 13.084 0.507 1.415
O 11.385 -1.269 0.232
O 6.445 -2.886 3.684
O 10.440 -0.507 5.177
```

The 6 most intense peaks (10 to 80 degrees two-theta), by angle:
| d/Å | 2θ (°) | I (rel.) |
| --- | --- | --- |
| 6.465 | 13.7 | 82 |
| 4.597 | 19.3 | 49 |
| 4.530 | 19.6 | 55 |
| 3.890 | 22.9 | 64 |
| 2.901 | 30.8 | 100 |
| 2.879 | 31.1 | 66 |

Starting from the PBE geometry in the Materials Project, the powder X-ray diffraction pattern of K4Sn21Hg2 was computed for a wavelength of 1.5418 Å.
Lines closer than 0.1° are merged.

Cell and atoms:
```
54
Lattice="12.459 0.000 0.000 0.000 8.803 8.806 0.000 -8.803 8.806" Properties=species:S:1:pos:R:3 pbc="T T T"
K 0.000 0.000 0.000
K 3.115 -2.200 6.630
K 3.115 4.407 4.414
K 3.115 2.188 11.019
K 6.230 0.000 0.000
K 9.345 -4.407 4.414
K 9.345 2.200 6.630
K 9.345 -2.188 11.019
Sn 0.729 -3.377 3.389
Sn 0.795 -5.452 5.466
Sn 0.833 1.171 4.421
Sn 0.833 4.396 7.633
Sn 0.842 -4.402 9.997
Sn 0.844 -1.194 13.221
Sn 1.648 -1.650 10.468
Sn 1.651 1.651 7.165
Sn 3.115 -2.199 2.216
Sn 3.115 -6.119 9.411
Sn 3.115 0.662 2.715
Sn 3.115 6.097 8.158
Sn 3.115 -0.590 14.935
Sn 4.578 1.651 7.165
Sn 4.582 -1.650 10.468
Sn 5.387 -4.402 9.997
Sn 5.386 -1.194 13.221
Sn 5.397 1.171 4.421
Sn 5.397 4.396 7.633
Sn 5.435 -5.452 5.466
Sn 5.500 -3.377 3.389
Sn 6.959 3.377 3.389
Sn 7.024 5.452 5.466
Sn 7.062 -4.396 7.633
Sn 7.062 -1.171 4.421
Sn 7.072 4.402 9.997
Sn 7.074 1.194 13.221
Sn 7.877 1.650 10.468
Sn 7.881 -1.651 7.165
Sn 9.345 -0.662 2.715
Sn 9.345 -6.097 8.158
Sn 9.345 2.199 2.216
Sn 9.345 6.119 9.411
Sn 9.345 0.590 14.935
Sn 10.808 -1.651 7.165
Sn 10.812 1.650 10.468
Sn 11.617 4.402 9.997
Sn 11.615 1.194 13.221
Sn 11.627 -4.396 7.633
Sn 11.627 -1.171 4.421
Sn 11.665 5.452 5.466
Sn 11.730 3.377 3.389
Hg 0.000 0.000 8.817
Hg 3.115 -6.602 6.617
Hg 6.230 0.000 8.817
Hg 9.345 6.602 6.617
```

The 6 most intense peaks (10 to 80 degrees two-theta), by angle:
| d/Å | 2θ (°) | I (rel.) |
| --- | --- | --- |
| 5.570 | 15.9 | 68 |
| 3.595 | 24.8 | 38 |
| 3.329 | 26.8 | 100 |
| 2.136 | 42.3 | 84 |
| 2.076 | 43.6 | 29 |
| 2.020 | 44.9 | 55 |